This entry pairs a crystal structure of Nb5Ga13 with its simulated powder XRD pattern. Radiation: copper Kα. Structure: DFT lattice parameters and positions (PBE).
Kinematic intensities with the Lorentz-polarization factor, no thermal factor.

Most intense lines, 10° ≤ 2θ ≤ 90°, most intense first:
- 2θ = 39.02°, intensity 100
- 2θ = 39.95°, intensity 21
- 2θ = 47.81°, intensity 14
- 2θ = 47.98°, intensity 14
- 2θ = 71.93°, intensity 12
- 2θ = 83.36°, intensity 10
- 2θ = 83.10°, intensity 10
- 2θ = 64.01°, intensity 10
- 2θ = 64.15°, intensity 10
- 2θ = 83.82°, intensity 9

Cell and atoms:
a = 20.4018 Å, b = 20.4018 Å, c = 3.7923 Å
α = 90.00°, β = 90.00°, γ = 169.30°
Sites, in units of the cell vectors:
Nb1 0.0000 0.0000 0.0000
Nb2 0.2163 0.7837 0.0000
Nb3 0.3920 0.6080 0.5000
Nb4 0.6080 0.3920 0.5000
Nb5 0.7837 0.2163 0.0000
Ga1 0.0547 0.9453 0.5000
Ga2 0.1117 0.8883 0.0000
Ga3 0.1644 0.8356 0.5000
Ga4 0.2718 0.7282 0.5000
Ga5 0.3354 0.6646 0.0000
Ga6 0.4453 0.5547 0.0000
Ga7 0.5000 0.5000 0.5000
Ga8 0.5547 0.4453 0.0000
Ga9 0.6646 0.3354 0.0000
Ga10 0.7282 0.2718 0.5000
Ga11 0.8356 0.1644 0.5000
Ga12 0.8883 0.1117 0.0000
Ga13 0.9453 0.0547 0.5000